(1)
For TiWN3, DFT lattice parameters and positions (GGA-PBE) gives the theoretical powder X-ray diffraction pattern in this record (a wavelength of 1.5418 Å).
Kinematic intensities with the Lorentz-polarization factor, no thermal factor.

The 10 most intense peaks (2θ = 10–90°), in order of falling intensity:
hkl 1 1 0, 2θ = 17.55°, intensity 100; hkl 1 0 1, 2θ = 20.25°, intensity 97; hkl 0 1 -1, 2θ = 16.45°, intensity 46; hkl -1 1 2, 2θ = 32.81°, intensity 36; hkl 2 1 1, 2θ = 34.50°, intensity 23; hkl 2 0 -2, 2θ = 42.82°, intensity 23; hkl 0 1 3, 2θ = 34.65°, intensity 23; hkl 1 2 -1, 2θ = 27.53°, intensity 18; hkl 0 2 0, 2θ = 23.38°, intensity 18; hkl 3 0 -1, 2θ = 55.94°, intensity 16

Cell and atoms:
Lattice parameters (Å, degrees): 5.383 8.071 8.119 85.66 86.30 70.78
Element x y z (fractional)
Ti 0.049 0.252 0.211
Ti 0.319 0.902 0.015
Ti 0.681 0.098 0.985
Ti 0.951 0.748 0.789
W 0.091 0.909 0.357
W 0.383 0.543 0.155
W 0.617 0.457 0.845
W 0.909 0.091 0.643
N 0.090 0.000 0.827
N 0.109 0.130 0.440
N 0.134 0.460 0.249
N 0.282 0.643 0.927
N 0.337 0.130 0.076
N 0.400 0.746 0.257
N 0.600 0.254 0.743
N 0.663 0.870 0.924
N 0.718 0.357 0.073
N 0.866 0.540 0.751
N 0.891 0.870 0.560
N 0.910 0.000 0.173


(2)
For EuBiPd2, DFT lattice parameters and positions (GGA-PBE) gives the theoretical powder X-ray diffraction pattern in this record (a wavelength of 1.5418 Å).
Kinematic intensities with the Lorentz-polarization factor, no thermal factor.

The 10 most intense peaks (2θ = 10–90°), in order of falling intensity:
hkl 2 2 0, 2θ = 35.89°, intensity 100; hkl 4 2 2, 2θ = 64.50°, intensity 36; hkl 4 0 0, 2θ = 51.66°, intensity 18; hkl 6 2 0, 2θ = 87.09°, intensity 17; hkl 4 4 0, 2θ = 76.08°, intensity 11; hkl 2 0 0, 2θ = 25.17°, intensity 7; hkl 4 2 0, 2θ = 58.31°, intensity 3; hkl 2 2 2, 2θ = 44.34°, intensity 2; hkl 1 1 1, 2θ = 21.75°, intensity 2; hkl 6 0 0, 2θ = 81.62°, intensity 2

Cell and atoms:
Lattice parameters (Å, degrees): 7.077 7.077 7.077 90.00 90.00 90.00
Element x y z (fractional)
Eu 0.000 0.000 0.000
Eu 0.000 0.500 0.500
Eu 0.500 0.000 0.500
Eu 0.500 0.500 0.000
Bi 0.000 0.000 0.500
Bi 0.000 0.500 0.000
Bi 0.500 0.000 0.000
Bi 0.500 0.500 0.500
Pd 0.250 0.250 0.250
Pd 0.250 0.250 0.750
Pd 0.250 0.750 0.250
Pd 0.250 0.750 0.750
Pd 0.750 0.250 0.250
Pd 0.750 0.250 0.750
Pd 0.750 0.750 0.250
Pd 0.750 0.750 0.750